For Tb2HoB2Pd2N3, a structure optimized by DFT (GGA-PBE) gives the simulated powder diffractogram in this record (Cu Ka).
Lines closer than 0.1° are merged.

Peak list (10 most intense, 10° ≤ 2θ ≤ 90°, by angle)
| two_theta | I_rel |
| --- | --- |
| 27.8 | 93 |
| 33.1 | 100 |
| 35.5 | 63 |
| 36.0 | 84 |
| 39.2 | 56 |
| 44.2 | 28 |
| 50.1 | 53 |
| 57.9 | 36 |
| 61.3 | 35 |
| 62.8 | 47 |

Atomic structure:
Cell: 10.451 10.451 10.451 Å, 159.92 159.92 28.54°
Element x y z (fractional)
Tb 0.119 0.119 0.000
Tb 0.881 0.881 0.000
Ho 0.500 0.500 0.000
B 0.316 0.316 0.000
B 0.684 0.684 0.000
Pd 0.250 0.750 0.500
Pd 0.750 0.250 0.500
N 0.000 0.000 0.000
N 0.386 0.386 0.000
N 0.614 0.614 0.000